This entry pairs a crystal structure of BaH3C3O7 with its simulated X-ray diffraction stick pattern. Radiation: Cu Kα (weighted mean of Kα1 and Kα2). Structure: the GGA-PBE geometry in the Materials Project.

Peak list (10 most intense, 2θ from 10° to 90°, low angle first)
two_theta, intensity
14.06, 82
16.38, 62
18.33, 100
23.94, 40
24.95, 79
29.29, 80
30.41, 79
33.24, 40
36.84, 43
41.24, 33

Crystal structure
a b c (Å): 5.760 18.311 8.241
angles (deg): 90.00 125.53 90.00
Fractional coordinates of all 56 atoms:
Ba (0.146, 0.084, 0.377)
Ba (0.146, 0.416, 0.877)
Ba (0.854, 0.584, 0.123)
Ba (0.854, 0.916, 0.623)
H (0.152, 0.604, 0.846)
H (0.152, 0.896, 0.346)
H (0.244, 0.566, 0.714)
H (0.244, 0.934, 0.214)
H (0.342, 0.750, 0.352)
H (0.342, 0.750, 0.852)
H (0.658, 0.250, 0.148)
H (0.658, 0.250, 0.648)
H (0.756, 0.066, 0.786)
H (0.756, 0.434, 0.286)
H (0.848, 0.104, 0.654)
H (0.848, 0.396, 0.154)
C (0.075, 0.235, 0.648)
C (0.075, 0.265, 0.148)
C (0.333, 0.228, 0.164)
C (0.333, 0.272, 0.664)
C (0.484, 0.516, 0.582)
C (0.484, 0.984, 0.082)
C (0.516, 0.016, 0.918)
C (0.516, 0.484, 0.418)
C (0.667, 0.728, 0.336)
C (0.667, 0.772, 0.836)
C (0.925, 0.735, 0.852)
C (0.925, 0.765, 0.352)
O (0.035, 0.168, 0.607)
O (0.035, 0.332, 0.107)
O (0.069, 0.723, 0.319)
O (0.069, 0.777, 0.819)
O (0.259, 0.552, 0.520)
O (0.259, 0.948, 0.020)
O (0.266, 0.564, 0.844)
O (0.266, 0.936, 0.344)
O (0.317, 0.003, 0.737)
O (0.317, 0.497, 0.237)
O (0.393, 0.163, 0.211)
O (0.393, 0.337, 0.711)
O (0.474, 0.227, 0.626)
O (0.474, 0.273, 0.126)
O (0.526, 0.727, 0.874)
O (0.526, 0.773, 0.374)
O (0.607, 0.663, 0.289)
O (0.607, 0.837, 0.789)
O (0.683, 0.503, 0.763)
O (0.683, 0.997, 0.263)
O (0.734, 0.064, 0.656)
O (0.734, 0.436, 0.156)
O (0.741, 0.052, 0.980)
O (0.741, 0.448, 0.480)
O (0.931, 0.223, 0.181)
O (0.931, 0.277, 0.681)
O (0.965, 0.668, 0.893)
O (0.965, 0.832, 0.393)

This entry pairs a crystal structure of Sr2CaUO6 with its simulated X-ray diffraction stick pattern. Radiation: Cu Kα (weighted mean of Kα1 and Kα2). Structure: the GGA-PBE geometry in the Materials Project.

Peak list (10 most intense, 2θ from 10° to 90°, low angle first)
two_theta, intensity
17.80, 38
18.13, 34
20.77, 15
29.10, 24
29.56, 100
29.92, 23
35.00, 20
42.22, 24
51.87, 17
52.82, 19

Crystal structure
a b c (Å): 5.974 6.137 10.399
angles (deg): 90.00 124.84 90.00
Fractional coordinates of all 20 atoms:
Sr (0.234, 0.047, 0.247)
Sr (0.234, 0.453, 0.747)
Sr (0.766, 0.547, 0.253)
Sr (0.766, 0.953, 0.753)
Ca (0.000, 0.000, 0.500)
Ca (0.000, 0.500, 0.000)
U (0.500, 0.000, 0.000)
U (0.500, 0.500, 0.500)
O (0.168, 0.189, 0.951)
O (0.168, 0.311, 0.451)
O (0.252, 0.721, 0.938)
O (0.252, 0.779, 0.438)
O (0.370, 0.044, 0.766)
O (0.370, 0.456, 0.266)
O (0.630, 0.544, 0.734)
O (0.630, 0.956, 0.234)
O (0.748, 0.221, 0.562)
O (0.748, 0.279, 0.062)
O (0.832, 0.689, 0.549)
O (0.832, 0.811, 0.049)

This entry pairs a crystal structure of Fe2B with its simulated X-ray diffraction stick pattern. Radiation: Cu Kα (weighted mean of Kα1 and Kα2). Structure: the GGA-PBE geometry in the Materials Project.

Peak list (10 most intense, 2θ from 10° to 90°, low angle first)
two_theta, intensity
24.87, 7
35.45, 17
42.69, 24
45.41, 100
50.03, 6
56.66, 13
57.56, 13
74.24, 7
80.09, 16
81.62, 15

Crystal structure
a b c (Å): 5.064 5.064 4.236
angles (deg): 90.00 90.00 90.00
Fractional coordinates of all 12 atoms:
Fe (0.166, 0.334, 0.000)
Fe (0.166, 0.666, 0.500)
Fe (0.334, 0.166, 0.500)
Fe (0.334, 0.834, 0.000)
Fe (0.666, 0.166, 0.000)
Fe (0.666, 0.834, 0.500)
Fe (0.834, 0.334, 0.500)
Fe (0.834, 0.666, 0.000)
B (0.000, 0.000, 0.250)
B (0.000, 0.000, 0.750)
B (0.500, 0.500, 0.250)
B (0.500, 0.500, 0.750)

This entry pairs a crystal structure of Ta4Co2C with its simulated X-ray diffraction stick pattern. Radiation: Cu Kα (weighted mean of Kα1 and Kα2). Structure: the GGA-PBE geometry in the Materials Project.

Peak list (10 most intense, 2θ from 10° to 90°, low angle first)
two_theta, intensity
26.51, 7
33.54, 47
37.85, 49
40.24, 100
43.98, 35
52.09, 10
65.62, 15
68.35, 43
69.96, 15
82.40, 19

Crystal structure
a b c (Å): 8.235 8.235 8.235
angles (deg): 60.00 60.00 60.00
Fractional coordinates of all 28 atoms:
Ta (0.000, 0.000, 0.000)
Ta (0.000, 0.000, 0.500)
Ta (0.000, 0.500, 0.000)
Ta (0.187, 0.187, 0.563)
Ta (0.187, 0.563, 0.187)
Ta (0.187, 0.563, 0.563)
Ta (0.437, 0.437, 0.813)
Ta (0.437, 0.813, 0.437)
Ta (0.437, 0.813, 0.813)
Ta (0.500, 0.000, 0.000)
Ta (0.563, 0.187, 0.187)
Ta (0.563, 0.187, 0.563)
Ta (0.563, 0.563, 0.187)
Ta (0.813, 0.437, 0.437)
Ta (0.813, 0.437, 0.813)
Ta (0.813, 0.813, 0.437)
Co (0.121, 0.793, 0.793)
Co (0.207, 0.207, 0.207)
Co (0.207, 0.207, 0.879)
Co (0.207, 0.879, 0.207)
Co (0.793, 0.121, 0.793)
Co (0.793, 0.793, 0.121)
Co (0.793, 0.793, 0.793)
Co (0.879, 0.207, 0.207)
C (0.000, 0.500, 0.500)
C (0.500, 0.000, 0.500)
C (0.500, 0.500, 0.000)
C (0.500, 0.500, 0.500)

This entry pairs a crystal structure of PbCl2 with its simulated X-ray diffraction stick pattern. Radiation: Cu Kα (weighted mean of Kα1 and Kα2). Structure: the GGA-PBE geometry in the Materials Project.

Peak list (10 most intense, 2θ from 10° to 90°, low angle first)
two_theta, intensity
21.61, 24
22.17, 61
22.83, 38
24.47, 100
31.64, 42
34.81, 49
39.35, 24
39.70, 23
41.11, 37
42.03, 51

Crystal structure
a b c (Å): 7.790 4.579 9.356
angles (deg): 90.00 90.00 90.00
Fractional coordinates of all 12 atoms:
Pb (0.235, 0.250, 0.084)
Pb (0.265, 0.750, 0.584)
Pb (0.735, 0.250, 0.416)
Pb (0.765, 0.750, 0.916)
Cl (0.012, 0.250, 0.846)
Cl (0.142, 0.250, 0.417)
Cl (0.358, 0.750, 0.917)
Cl (0.488, 0.750, 0.346)
Cl (0.512, 0.250, 0.654)
Cl (0.642, 0.250, 0.083)
Cl (0.858, 0.750, 0.583)
Cl (0.988, 0.750, 0.154)

This entry pairs a crystal structure of SmSnIr with its simulated X-ray diffraction stick pattern. Radiation: Cu Kα (weighted mean of Kα1 and Kα2). Structure: the GGA-PBE geometry in the Materials Project.

Peak list (10 most intense, 2θ from 10° to 90°, low angle first)
two_theta, intensity
23.86, 15
32.29, 77
35.23, 100
36.82, 33
41.96, 41
43.00, 41
43.67, 30
58.40, 18
62.16, 26
67.08, 32

Crystal structure
a b c (Å): 7.458 7.458 4.146
angles (deg): 90.00 90.00 120.00
Fractional coordinates of all 9 atoms:
Sm (0.000, 0.591, 0.000)
Sm (0.409, 0.409, 0.000)
Sm (0.591, 0.000, 0.000)
Sn (0.000, 0.252, 0.500)
Sn (0.252, 0.000, 0.500)
Sn (0.748, 0.748, 0.500)
Ir (0.000, 0.000, 0.000)
Ir (0.333, 0.667, 0.500)
Ir (0.667, 0.333, 0.500)